Calculated powder diffraction line list of SrTcWO6 for Cu Kα, from DFT lattice parameters and positions (PBE+U).

Structure:
```
SrTcWO6
1.0
4.9815 0.0000 0.0000
0.0000 4.9815 0.0000
0.0000 0.0000 9.7144
Sr Tc W O
2 2 2 12
Direct
0.0000 0.0000 0.0000
0.5000 0.5000 0.5000
0.0000 0.0000 0.3286
0.5000 0.5000 0.8286
0.0000 0.0000 0.6662
0.5000 0.5000 0.1662
0.1657 0.1657 0.4995
0.2142 0.2142 0.7953
0.2246 0.2246 0.1907
0.2754 0.7246 0.6907
0.2858 0.7142 0.2953
0.3343 0.6657 0.9995
0.6657 0.3343 0.9995
0.7142 0.2858 0.2953
0.7246 0.2754 0.6907
0.7754 0.7754 0.1907
0.7858 0.7858 0.7953
0.8343 0.8343 0.4995
```

Main lines, sorted by position (10° ≤ 2θ ≤ 90°):
2theta  I_rel  (hkl)
20.03  20.8  1 0 1
25.28  100.0  1 1 0
32.99  80.7  1 0 3
36.06  23.2  2 0 0
49.67  64.6  2 1 3
62.90  18.7  3 0 3